Theoretical X-ray diffraction stick pattern
Compound: TmAs
Radiation: Cu Kα (λ = 1.5418 Å)
Structure: a PBE-relaxed structure
No peak broadening, texture or thermal motion is included.

Top 8 peaks for 10° ≤ 2θ ≤ 80°, in order of rising 2θ:
2theta  d [Å]  I/Imax
26.85  3.320  26
31.10  2.875  100
44.56  2.033  74
52.80  1.734  13
55.34  1.660  26
64.85  1.438  12
71.51  1.319  5
73.67  1.286  34

Cell lengths 4.067, 4.067, 4.067 Å; angles 60.00, 60.00, 60.00 degrees
Atoms (fractional coordinates):
Tm: 0.000 0.000 0.000
As: 0.500 0.500 0.500